# 1
Diffraction record for La3CoPb. The powder diffraction line list is computed, not measured: it uses a structure optimized by DFT (GGA-PBE) and copper Kα.
Kinematic intensities with the Lorentz-polarization factor, no thermal factor.

Structural model:
```
data_La3CoPb
_space_group_name_H-M_alt 'P 1 21/m 1'
_space_group_IT_number 11
_space_group_name_Hall '-P 2yb'
_cell_length_a 8.379
_cell_length_b 4.814
_cell_length_c 8.399
_cell_angle_alpha 90.00
_cell_angle_beta 119.74
_cell_angle_gamma 90.00
loop_
_atom_site_label
_atom_site_fract_x
_atom_site_fract_y
_atom_site_fract_z
La1 0.068 0.250 0.333
La2 0.288 0.250 0.926
La3 0.341 0.750 0.260
Co1 0.035 0.250 0.990
Pb1 0.329 0.750 0.652
```

Main lines, sorted by position (10 to 90 degrees two-theta):
two_theta, Rel. int., h k l
22.15, 18, 1 1 -1
28.19, 100, 1 1 1
30.78, 97, 0 1 2
30.86, 40, 2 1 -2
37.03, 46, 3 0 0
37.18, 16, 3 0 -3
37.36, 44, 0 2 0
37.73, 28, 2 1 -3
53.62, 31, 3 2 0
63.35, 18, 0 3 2


# 2
Diffraction record for La4CoSnPb. The powder diffraction line list is computed, not measured: it uses a structure optimized by DFT (GGA-PBE) and copper Kα.
Kinematic intensities with the Lorentz-polarization factor, no thermal factor.

Structural model:
```
data_La4CoSnPb
_space_group_name_H-M_alt 'C m c m'
_space_group_IT_number 63
_space_group_name_Hall '-C 2c 2'
_cell_length_a 7.151
_cell_length_b 17.649
_cell_length_c 7.153
_cell_angle_alpha 90.00
_cell_angle_beta 90.00
_cell_angle_gamma 90.00
loop_
_atom_site_label
_atom_site_fract_x
_atom_site_fract_y
_atom_site_fract_z
La1 0.000 0.074 0.250
La2 0.000 0.423 0.250
La3 0.250 0.250 0.000
Co1 0.000 0.249 0.250
Sn1 0.000 0.111 0.750
Pb1 0.000 0.391 0.750
```

Main lines, sorted by position (10 to 90 degrees two-theta):
two_theta, Rel. int., h k l
24.90, 40, 2 0 0
26.90, 82, 2 2 0
30.39, 48, 0 6 0
30.89, 39, 1 5 1
32.22, 100, 2 4 0
35.50, 94, 2 0 2
47.41, 56, 2 6 2
51.08, 33, 4 0 0
60.58, 44, 4 6 0
61.69, 32, 4 4 2


# 3
Diffraction record for La4Co2Pd. The powder diffraction line list is computed, not measured: it uses a structure optimized by DFT (GGA-PBE) and copper Kα.
Kinematic intensities with the Lorentz-polarization factor, no thermal factor.

Structural model:
```
data_La4Co2Pd
_space_group_name_H-M_alt 'F d d 2'
_space_group_IT_number 43
_space_group_name_Hall 'F 2 -2d'
_cell_length_a 12.821
_cell_length_b 12.862
_cell_length_c 8.591
_cell_angle_alpha 90.00
_cell_angle_beta 90.00
_cell_angle_gamma 90.00
loop_
_atom_site_label
_atom_site_fract_x
_atom_site_fract_y
_atom_site_fract_z
La1 0.066 0.124 0.000
La2 0.124 0.433 0.838
Co1 0.062 0.189 0.294
Pd1 0.000 0.000 0.669
```

Main lines, sorted by position (10 to 90 degrees two-theta):
two_theta, Rel. int., h k l
28.61, 66, 2 2 2
31.15, 81, 4 2 0
31.33, 100, 3 3 1
32.79, 80, 1 1 3
37.15, 30, 1 5 1
37.26, 30, 5 1 1
37.68, 52, 2 4 2
48.11, 22, 5 1 3
52.41, 24, 5 3 3
53.26, 29, 2 4 4


# 4
Diffraction record for La4PmCo. The powder diffraction line list is computed, not measured: it uses a structure optimized by DFT (GGA-PBE) and copper Kα.
Kinematic intensities with the Lorentz-polarization factor, no thermal factor.

Structural model:
```
data_La4PmCo
_space_group_name_H-M_alt 'C m c 21'
_space_group_IT_number 36
_space_group_name_Hall 'C 2c -2'
_cell_length_a 5.817
_cell_length_b 18.574
_cell_length_c 7.599
_cell_angle_alpha 90.00
_cell_angle_beta 90.00
_cell_angle_gamma 90.00
loop_
_atom_site_label
_atom_site_fract_x
_atom_site_fract_y
_atom_site_fract_z
La1 0.000 0.000 0.000
La2 0.000 0.201 0.002
La3 0.000 0.202 0.502
La4 0.000 0.391 0.251
Pm1 0.000 0.383 0.752
Co1 0.000 0.096 0.751
```

Main lines, sorted by position (10 to 90 degrees two-theta):
two_theta, Rel. int., h k l
28.49, 100, 1 5 0
30.40, 39, 0 4 2
30.74, 36, 2 0 0
31.62, 11, 1 3 2
43.78, 29, 2 4 2
52.88, 13, 1 9 2
53.28, 18, 3 5 0
56.67, 16, 1 5 4
57.98, 12, 2 0 4
59.00, 11, 2 10 0


# 5
Diffraction record for LaPm4Co. The powder diffraction line list is computed, not measured: it uses a structure optimized by DFT (GGA-PBE) and copper Kα.
Kinematic intensities with the Lorentz-polarization factor, no thermal factor.

Structural model:
```
data_LaPm4Co
_space_group_name_H-M_alt 'C 1 2/m 1'
_space_group_IT_number 12
_space_group_name_Hall '-C 2y'
_cell_length_a 17.937
_cell_length_b 7.447
_cell_length_c 6.012
_cell_angle_alpha 90.00
_cell_angle_beta 109.56
_cell_angle_gamma 90.00
loop_
_atom_site_label
_atom_site_fract_x
_atom_site_fract_y
_atom_site_fract_z
La1 0.197 0.000 0.199
Pm1 0.000 0.236 0.000
Pm2 0.117 0.250 0.618
Pm3 0.172 0.500 0.171
Co1 0.001 0.500 0.686
```

Main lines, sorted by position (10 to 90 degrees two-theta):
two_theta, Rel. int., h k l
26.15, 22, 2 2 0
29.72, 40, 2 0 -2
30.33, 60, 4 0 1
32.44, 100, 4 2 -1
40.00, 26, 4 2 -2
49.61, 14, 8 2 0
53.13, 16, 8 0 -3
54.49, 17, 0 2 3
58.66, 18, 4 4 1
58.91, 23, 6 2 2


# 6
Diffraction record for LaPmCoSi. The powder diffraction line list is computed, not measured: it uses a structure optimized by DFT (GGA-PBE) and copper Kα.
Kinematic intensities with the Lorentz-polarization factor, no thermal factor.

Structural model:
```
data_LaPmCoSi
_space_group_name_H-M_alt 'R 3 m'
_space_group_IT_number 160
_space_group_name_Hall 'R 3 -2"'
_cell_length_a 4.0680
_cell_length_b 4.0680
_cell_length_c 22.3283
_cell_angle_alpha 90.00
_cell_angle_beta 90.00
_cell_angle_gamma 120.00
loop_
_atom_site_label
_atom_site_fract_x
_atom_site_fract_y
_atom_site_fract_z
La1 0.0000 0.0000 0.0000
Pm1 0.0000 0.0000 0.8328
Co1 0.0000 0.0000 0.5836
Si1 0.0000 0.0000 0.2461
```

Main lines, sorted by position (10 to 90 degrees two-theta):
two_theta, Rel. int., h k l
11.89, 37, 0 0 3
23.91, 30, 0 0 6
25.60, 85, 1 0 1
29.99, 50, 1 0 4
32.37, 100, 0 1 5
38.06, 59, 1 0 7
44.55, 65, 1 1 0
52.04, 24, 0 2 1
59.96, 24, 0 2 7
68.32, 35, 1 1 12


# 7
Diffraction record for La12PrCo5. The powder diffraction line list is computed, not measured: it uses a structure optimized by DFT (GGA-PBE) and copper Kα.
Kinematic intensities with the Lorentz-polarization factor, no thermal factor.

Structural model:
```
data_La12PrCo5
_space_group_name_H-M_alt 'C 1 m 1'
_space_group_IT_number 8
_space_group_name_Hall 'C -2y'
_cell_length_a 6.998
_cell_length_b 12.506
_cell_length_c 12.882
_cell_angle_alpha 90.00
_cell_angle_beta 96.08
_cell_angle_gamma 90.00
loop_
_atom_site_label
_atom_site_fract_x
_atom_site_fract_y
_atom_site_fract_z
La1 0.000 0.000 0.000
La2 0.014 0.309 0.985
La3 0.117 0.161 0.731
La4 0.122 0.500 0.737
La5 0.234 0.214 0.239
La6 0.235 0.332 0.506
La7 0.265 0.000 0.503
La8 0.413 0.500 0.278
Pr1 0.493 0.000 0.185
Co1 0.350 0.352 0.114
Co2 0.429 0.500 0.612
Co3 0.436 0.165 0.626
```

Main lines, sorted by position (10 to 90 degrees two-theta):
two_theta, Rel. int., h k l
13.83, 24, 0 0 2
27.26, 31, 2 0 1
27.89, 100, 1 3 -2
29.26, 39, 1 3 2
31.40, 30, 2 0 -3
31.76, 14, 1 3 -3
33.55, 41, 1 3 3
43.42, 16, 0 6 0
44.61, 25, 3 3 -1
48.46, 20, 1 3 -6


# 8
Diffraction record for LaPr4Co2. The powder diffraction line list is computed, not measured: it uses a structure optimized by DFT (GGA-PBE) and copper Kα.
Kinematic intensities with the Lorentz-polarization factor, no thermal factor.

Structural model:
```
data_LaPr4Co2
_space_group_name_H-M_alt 'P 1 21/m 1'
_space_group_IT_number 11
_space_group_name_Hall '-P 2yb'
_cell_length_a 7.035
_cell_length_b 6.890
_cell_length_c 9.105
_cell_angle_alpha 90.00
_cell_angle_beta 112.66
_cell_angle_gamma 90.00
loop_
_atom_site_label
_atom_site_fract_x
_atom_site_fract_y
_atom_site_fract_z
La1 0.218 0.250 0.210
Pr1 0.027 0.250 0.792
Pr2 0.283 0.502 0.567
Pr3 0.339 0.750 0.006
Co1 0.031 0.750 0.673
Co2 0.374 0.750 0.341
```

Main lines, sorted by position (10 to 90 degrees two-theta):
two_theta, Rel. int., h k l
27.99, 87, 0 2 1
28.49, 53, 2 1 -1
29.41, 86, 1 0 2
29.47, 53, 1 0 -3
30.45, 47, 2 1 0
32.25, 100, 1 1 2
33.08, 86, 1 2 -2
36.51, 50, 2 2 -1
53.19, 46, 0 4 0
54.65, 61, 3 2 1


# 9
Diffraction record for LaPr5Co3. The powder diffraction line list is computed, not measured: it uses a structure optimized by DFT (GGA-PBE) and copper Kα.
Kinematic intensities with the Lorentz-polarization factor, no thermal factor.

Structural model:
```
data_LaPr5Co3
_space_group_name_H-M_alt 'P 1 2/m 1'
_space_group_IT_number 10
_space_group_name_Hall '-P 2y'
_cell_length_a 6.540
_cell_length_b 4.147
_cell_length_c 19.685
_cell_angle_alpha 90.00
_cell_angle_beta 90.78
_cell_angle_gamma 90.00
loop_
_atom_site_label
_atom_site_fract_x
_atom_site_fract_y
_atom_site_fract_z
La1 0.222 0.000 0.224
Pr1 0.216 0.000 0.890
Pr2 0.226 0.000 0.557
Pr3 0.275 0.500 0.391
Pr4 0.278 0.500 0.723
Pr5 0.280 0.500 0.056
Co1 0.000 0.500 0.500
Co2 0.012 0.500 0.170
Co3 0.494 0.000 0.331
Co4 0.500 0.000 0.000
```

Main lines, sorted by position (10 to 90 degrees two-theta):
two_theta, Rel. int., h k l
27.28, 39, 2 0 0
28.81, 100, 1 1 -3
28.99, 98, 1 1 3
30.32, 45, 1 0 -6
30.66, 44, 1 0 6
37.47, 36, 2 1 -3
37.75, 35, 2 1 3
43.65, 32, 0 2 0
46.97, 51, 0 1 9
47.10, 18, 3 1 0


# 10
Diffraction record for LaPr3Co. The powder diffraction line list is computed, not measured: it uses a structure optimized by DFT (GGA-PBE) and copper Kα.
Kinematic intensities with the Lorentz-polarization factor, no thermal factor.

Structural model:
```
data_LaPr3Co
_space_group_name_H-M_alt 'I m a 2'
_space_group_IT_number 46
_space_group_name_Hall 'I 2 -2a'
_cell_length_a 8.690
_cell_length_b 8.599
_cell_length_c 8.614
_cell_angle_alpha 90.00
_cell_angle_beta 90.00
_cell_angle_gamma 90.00
loop_
_atom_site_label
_atom_site_fract_x
_atom_site_fract_y
_atom_site_fract_z
La1 0.250 0.042 0.000
Pr1 0.045 0.708 0.210
Pr2 0.250 0.042 0.418
Co1 0.250 0.115 0.721
```

Main lines, sorted by position (10 to 90 degrees two-theta):
two_theta, Rel. int., h k l
29.21, 100, 2 2 0
29.35, 51, 0 2 2
32.62, 20, 3 1 0
32.91, 51, 0 1 3
38.91, 12, 3 1 2
41.97, 14, 0 0 4
49.48, 17, 3 3 2
51.96, 21, 2 2 4
54.35, 15, 1 4 3
58.68, 13, 2 5 1


# 11
Diffraction record for La3PrCo2. The powder diffraction line list is computed, not measured: it uses a structure optimized by DFT (GGA-PBE) and copper Kα.
Kinematic intensities with the Lorentz-polarization factor, no thermal factor.

Structural model:
```
data_La3PrCo2
_space_group_name_H-M_alt 'P -1'
_space_group_IT_number 2
_space_group_name_Hall '-P 1'
_cell_length_a 4.107
_cell_length_b 8.734
_cell_length_c 10.508
_cell_angle_alpha 94.62
_cell_angle_beta 101.09
_cell_angle_gamma 103.57
loop_
_atom_site_label
_atom_site_fract_x
_atom_site_fract_y
_atom_site_fract_z
La1 0.130 0.321 0.442
La2 0.131 0.818 0.945
La3 0.368 0.929 0.307
Pr1 0.371 0.433 0.808
Co1 0.248 0.122 0.874
Co2 0.253 0.628 0.379
```

Main lines, sorted by position (10 to 90 degrees two-theta):
two_theta, Rel. int., h k l
14.49, 21, 0 1 1
26.91, 93, 1 1 -1
29.21, 24, 0 2 2
31.77, 51, 1 0 2
31.91, 100, 0 3 -1
44.12, 41, -2 1 1
44.22, 20, 1 2 -4
47.14, 32, 1 3 1
47.26, 16, -1 4 2
55.47, 31, 2 2 -2


# 12
Diffraction record for La6Co2Pt. The powder diffraction line list is computed, not measured: it uses a structure optimized by DFT (GGA-PBE) and copper Kα.
Kinematic intensities with the Lorentz-polarization factor, no thermal factor.

Structural model:
```
data_La6Co2Pt
_space_group_name_H-M_alt 'P -3 1 m'
_space_group_IT_number 162
_space_group_name_Hall '-P 3 2'
_cell_length_a 7.1763
_cell_length_b 7.1763
_cell_length_c 6.6258
_cell_angle_alpha 90.00
_cell_angle_beta 90.00
_cell_angle_gamma 120.00
loop_
_atom_site_label
_atom_site_fract_x
_atom_site_fract_y
_atom_site_fract_z
La1 0.0000 0.3498 0.2266
Co1 0.3333 0.6667 0.0000
Pt1 0.0000 0.0000 0.0000
```

Main lines, sorted by position (10 to 90 degrees two-theta):
two_theta, Rel. int., h k l
13.36, 34, 0 0 1
28.28, 100, 2 -1 1
36.93, 48, 2 -1 2
43.69, 34, 3 0 0
48.39, 27, 1 1 3
52.87, 17, 2 2 1
58.51, 12, 2 2 2
70.93, 13, 5 -1 1
73.15, 11, 3 0 4
83.67, 11, 4 1 3


# 13
Diffraction record for La2CoPt2. The powder diffraction line list is computed, not measured: it uses a structure optimized by DFT (GGA-PBE) and copper Kα.
Kinematic intensities with the Lorentz-polarization factor, no thermal factor.

Structural model:
```
data_La2CoPt2
_space_group_name_H-M_alt 'I 4/m m m'
_space_group_IT_number 139
_space_group_name_Hall '-I 4 2'
_cell_length_a 3.818
_cell_length_b 3.818
_cell_length_c 16.106
_cell_angle_alpha 90.00
_cell_angle_beta 90.00
_cell_angle_gamma 90.00
loop_
_atom_site_label
_atom_site_fract_x
_atom_site_fract_y
_atom_site_fract_z
La1 0.000 0.000 0.105
Co1 0.000 0.000 0.500
Pt1 0.000 0.500 0.250
```

Main lines, sorted by position (10 to 90 degrees two-theta):
two_theta, Rel. int., h k l
10.99, 89, 0 0 2
23.95, 24, 1 0 1
33.38, 28, 0 0 6
35.06, 100, 1 1 2
36.50, 38, 1 0 5
40.22, 83, 1 1 4
47.64, 42, 2 0 0
59.41, 22, 2 0 6
67.75, 28, 1 1 10
83.61, 21, 3 1 4